Record 1
Computed XRD peak list of Cs2TiOsO6 for Cu Kα (weighted mean of Kα1 and Kα2), from a PBE-relaxed structure.

Crystal structure
Cell: 7.197 7.197 7.197 Å, 135.89 135.89 64.15°
Sites, in units of the cell vectors:
Cs (0.000, 0.500, 0.500)
Cs (0.500, 0.000, 0.500)
Ti (0.253, 0.253, 0.000)
Os (0.742, 0.742, 0.000)
O (0.394, 0.394, 0.000)
O (0.466, 0.466, 0.508)
O (0.466, 0.958, 0.000)
O (0.890, 0.890, 0.000)
O (0.958, 0.466, 0.000)
O (0.958, 0.958, 0.492)

Peak list (8 most intense, 10 to 90 degrees two-theta, in order of rising 2θ)
2θ/deg, I_rel
18.0, 205
27.5, 1000
29.3, 216
33.1, 254
44.8, 186
47.6, 147
50.9, 182
55.9, 264


Record 2
Computed XRD peak list of KRbTl17 for Cu Kα (weighted mean of Kα1 and Kα2), from a PBE-relaxed structure.

Crystal structure
Cell: 8.701 8.701 8.701 Å, 81.54 81.54 81.54°
Sites, in units of the cell vectors:
K (0.000, 0.000, 0.000)
Rb (0.329, 0.329, 0.329)
Tl (0.020, 0.020, 0.537)
Tl (0.020, 0.537, 0.020)
Tl (0.179, 0.659, 0.659)
Tl (0.300, 0.300, 0.835)
Tl (0.300, 0.835, 0.300)
Tl (0.374, 0.670, 0.961)
Tl (0.374, 0.961, 0.670)
Tl (0.537, 0.020, 0.020)
Tl (0.571, 0.571, 0.571)
Tl (0.659, 0.179, 0.659)
Tl (0.659, 0.659, 0.179)
Tl (0.670, 0.374, 0.961)
Tl (0.670, 0.961, 0.374)
Tl (0.766, 0.766, 0.766)
Tl (0.835, 0.300, 0.300)
Tl (0.961, 0.374, 0.670)
Tl (0.961, 0.670, 0.374)

Peak list (8 most intense, 10 to 90 degrees two-theta, in order of rising 2θ)
2θ/deg, I_rel
10.4, 206
15.6, 281
27.6, 220
31.3, 220
31.5, 1000
31.8, 338
35.2, 263
35.3, 786